1.
# Tl6Bi3Cl14
Theoretical powder diffractogram, CuKα. Input: a cell relaxed with PBE.
Peak positions follow from Bragg's law for the DFT cell and can differ from measured ones.

Principal peaks in the range 2θ from 5° to 70°, by angle:
2theta  d_spacing  intensity
19.69  4.509  35.6
21.76  4.085  100.0
23.17  3.839  16.4
24.40  3.647  15.6
27.07  3.294  16.5
29.74  3.004  28.1
32.13  2.786  28.3
33.90  2.644  16.9
35.52  2.527  15.5
39.88  2.261  17.7
41.11  2.195  15.2
44.62  2.031  16.6

Cell and atoms:
Cell: 11.1429 11.1429 7.6772 Å, 90.00 90.00 120.00°
Positions (direct):
Tl: 0.0184 0.5568 0.0000
Tl: 0.2837 0.0890 0.5787
Tl: 0.4432 0.4616 0.0000
Tl: 0.5384 0.9816 0.0000
Tl: 0.8054 0.7163 0.5787
Tl: 0.9110 0.1946 0.5787
Bi: 0.0000 0.0000 0.0473
Bi: 0.3333 0.6667 0.4677
Bi: 0.6667 0.3333 0.3899
Cl: 0.0000 0.0000 0.4000
Cl: 0.0730 0.8429 0.8368
Cl: 0.1571 0.2301 0.8368
Cl: 0.2024 0.4337 0.3066
Cl: 0.2313 0.7976 0.3066
Cl: 0.3333 0.6667 0.8298
Cl: 0.4363 0.1977 0.1864
Cl: 0.5201 0.4197 0.5991
Cl: 0.5663 0.7687 0.3066
Cl: 0.5803 0.1004 0.5991
Cl: 0.7614 0.5637 0.1864
Cl: 0.7699 0.9270 0.8368
Cl: 0.8023 0.2386 0.1864
Cl: 0.8996 0.4799 0.5991

=====

2.
# Nd3YS4
Theoretical powder diffractogram, CuKα. Input: a cell relaxed with PBE.
Peak positions follow from Bragg's law for the DFT cell and can differ from measured ones.

Principal peaks in the range 2θ from 5° to 70°, by angle:
2theta  d_spacing  intensity
26.91  3.313  25.8
27.04  3.298  25.4
27.18  3.280  50.2
31.28  2.859  50.6
31.41  2.848  100.0
44.81  2.023  54.5
45.01  2.014  35.9
45.29  2.002  17.6
53.22  1.721  21.0
53.50  1.713  16.5
56.07  1.640  18.4
65.56  1.424  11.4

Cell and atoms:
Cell: 7.0239 8.0097 6.9913 Å, 90.00 109.38 90.00°
Positions (direct):
Nd: 0.0000 0.1232 0.2500
Nd: 0.0000 0.3739 0.7500
Nd: 0.0000 0.6261 0.2500
Nd: 0.0000 0.8768 0.7500
Nd: 0.5000 0.1239 0.7500
Nd: 0.5000 0.8761 0.2500
Y: 0.5000 0.3737 0.2500
Y: 0.5000 0.6263 0.7500
S: 0.2551 0.1305 0.0052
S: 0.2551 0.8695 0.5052
S: 0.2598 0.3801 0.4998
S: 0.2598 0.6199 0.9998
S: 0.7402 0.3801 0.0002
S: 0.7402 0.6199 0.5002
S: 0.7449 0.1305 0.4948
S: 0.7449 0.8695 0.9948

=====

3.
# Tb4InTe2P
Theoretical powder diffractogram, CuKα. Input: a cell relaxed with PBE.
Peak positions follow from Bragg's law for the DFT cell and can differ from measured ones.

Principal peaks in the range 2θ from 5° to 70°, by angle:
2theta  d_spacing  intensity
29.29  3.049  51.0
29.42  3.036  100.0
40.95  2.204  18.3
42.00  2.151  73.8
43.20  2.094  18.1
51.14  1.786  18.6
53.05  1.726  19.3
61.03  1.518  11.2
67.56  1.387  7.2
68.93  1.362  15.5
69.08  1.360  7.6
69.16  1.358  7.9

Cell and atoms:
Cell: 7.5178 4.1885 7.5303 Å, 90.00 108.27 90.00°
Positions (direct):
Tb: 0.2272 0.0000 0.2188
Tb: 0.2420 0.5000 0.7640
Tb: 0.7580 0.5000 0.2360
Tb: 0.7728 0.0000 0.7812
In: 0.5000 0.0000 0.0000
Te: 0.0000 0.0000 0.5000
Te: 0.5000 0.5000 0.5000
P: 0.0000 0.5000 0.0000

=====

4.
# Ac6Pt3Rh
Theoretical powder diffractogram, CuKα. Input: a cell relaxed with PBE.
Peak positions follow from Bragg's law for the DFT cell and can differ from measured ones.

Principal peaks in the range 2θ from 5° to 70°, by angle:
2theta  d_spacing  intensity
23.95  3.715  30.4
26.85  3.321  42.4
28.23  3.161  88.0
28.68  3.112  20.2
29.89  2.990  100.0
30.84  2.899  21.1
40.09  2.249  37.9
41.72  2.165  44.4
43.04  2.102  30.0
43.79  2.067  22.1
51.14  1.786  29.4
67.49  1.388  22.2

Cell and atoms:
Cell: 12.6939 4.3300 13.4370 Å, 90.00 112.67 90.00°
Positions (direct):
Ac: 0.0568 0.2500 0.4104
Ac: 0.0973 0.7500 0.9317
Ac: 0.2365 0.2500 0.7510
Ac: 0.2459 0.7500 0.2636
Ac: 0.3968 0.2500 0.5603
Ac: 0.4355 0.2500 0.1010
Ac: 0.5645 0.7500 0.8990
Ac: 0.6032 0.7500 0.4397
Ac: 0.7541 0.2500 0.7364
Ac: 0.7635 0.7500 0.2490
Ac: 0.9027 0.2500 0.0683
Ac: 0.9432 0.7500 0.5896
Pt: 0.0046 0.2500 0.7695
Pt: 0.3357 0.7500 0.9316
Pt: 0.4223 0.2500 0.3383
Pt: 0.5777 0.7500 0.6617
Pt: 0.6643 0.2500 0.0684
Pt: 0.9954 0.7500 0.2305
Rh: 0.1901 0.7500 0.5702
Rh: 0.8099 0.2500 0.4298

=====

5.
# AlV2H4
Theoretical powder diffractogram, CuKα. Input: a cell relaxed with PBE.
Peak positions follow from Bragg's law for the DFT cell and can differ from measured ones.

Principal peaks in the range 2θ from 5° to 70°, by angle:
2theta  d_spacing  intensity
20.58  4.316  72.0
32.35  2.767  15.9
34.33  2.612  83.3
38.81  2.320  18.6
41.87  2.158  93.8
42.60  2.122  100.0
51.27  1.782  10.7
52.77  1.735  25.3
53.14  1.723  12.8
63.60  1.463  7.8
64.81  1.439  11.0
67.73  1.383  35.0

Cell and atoms:
Cell: 5.7803 5.7803 5.7803 Å, 130.12 130.12 73.21°
Positions (direct):
Al: 0.0000 0.0000 0.0000
Al: 0.7500 0.2500 0.5000
V: 0.3551 0.6250 0.2301
V: 0.3750 0.6449 0.7699
V: 0.3949 0.1250 0.7699
V: 0.8750 0.6051 0.2301
H: 0.0598 0.8413 0.2477
H: 0.1564 0.4087 0.7185
H: 0.1587 0.9402 0.7523
H: 0.1879 0.4064 0.2477
H: 0.5621 0.3098 0.7185
H: 0.5913 0.8436 0.2815
H: 0.5936 0.8121 0.7523
H: 0.6902 0.4379 0.2815

=====

6.
# NpPa2TcN4
Theoretical powder diffractogram, CuKα. Input: a cell relaxed with PBE.
Peak positions follow from Bragg's law for the DFT cell and can differ from measured ones.

Principal peaks in the range 2θ from 5° to 70°, by angle:
2theta  d_spacing  intensity
27.42  3.252  91.1
30.25  2.955  68.1
30.60  2.921  25.1
31.85  2.809  100.0
36.15  2.485  31.5
38.62  2.331  76.3
48.20  1.888  27.7
49.81  1.831  30.1
52.02  1.758  18.8
53.24  1.721  24.5
55.19  1.664  19.2
62.71  1.482  21.9

Cell and atoms:
Cell: 6.1397 6.1397 11.6852 Å, 90.00 90.00 148.54°
Positions (direct):
Np: 0.1085 0.8915 0.7500
Np: 0.8915 0.1085 0.2500
Pa: 0.3681 0.6319 0.5543
Pa: 0.3681 0.6319 0.9457
Pa: 0.6319 0.3681 0.0543
Pa: 0.6319 0.3681 0.4457
Tc: 0.1525 0.8475 0.2500
Tc: 0.8475 0.1525 0.7500
N: 0.0000 0.0000 0.0000
N: 0.0000 0.0000 0.5000
N: 0.2794 0.7206 0.1227
N: 0.2794 0.7206 0.3773
N: 0.4626 0.5374 0.7500
N: 0.5374 0.4626 0.2500
N: 0.7206 0.2794 0.6227
N: 0.7206 0.2794 0.8773

=====

7.
# CrCuNi2Pt4
Theoretical powder diffractogram, CuKα. Input: a cell relaxed with PBE.
Peak positions follow from Bragg's law for the DFT cell and can differ from measured ones.

Principal peaks in the range 2θ from 5° to 70°, by angle:
2theta  d_spacing  intensity
9.74  9.085  27.5
19.54  4.543  57.2
29.50  3.028  35.8
33.74  2.656  37.6
35.20  2.550  35.5
39.29  2.293  100.0
45.42  1.997  67.0
48.46  1.878  54.4
50.21  1.817  17.1
52.74  1.736  17.9
57.76  1.596  22.7
61.87  1.500  23.3

Cell and atoms:
Cell: 3.7566 3.7566 9.0851 Å, 90.00 90.00 90.00°
Positions (direct):
Cr: 0.0000 0.0000 0.0000
Cu: 0.0000 0.0000 0.5000
Ni: 0.5000 0.5000 0.3807
Ni: 0.5000 0.5000 0.6193
Pt: 0.0000 0.5000 0.1950
Pt: 0.0000 0.5000 0.8050
Pt: 0.5000 0.0000 0.1950
Pt: 0.5000 0.0000 0.8050

=====

8.
# KNaPbO3
Theoretical powder diffractogram, CuKα. Input: a cell relaxed with PBE.
Peak positions follow from Bragg's law for the DFT cell and can differ from measured ones.

Principal peaks in the range 2θ from 5° to 70°, by angle:
2theta  d_spacing  intensity
14.78  5.993  37.1
16.78  5.283  100.0
21.32  4.167  34.0
29.55  3.023  42.3
30.38  2.943  27.3
30.84  2.899  26.0
32.43  2.761  19.4
32.67  2.741  48.2
33.67  2.662  18.9
38.97  2.311  23.8
51.43  1.777  13.0
55.91  1.645  13.5

Cell and atoms:
Cell: 6.7039 6.7039 5.9197 Å, 95.18 95.18 126.75°
Positions (direct):
K: 0.2472 0.7528 0.7500
K: 0.7528 0.2472 0.2500
Na: 0.0738 0.9262 0.2500
Na: 0.9262 0.0738 0.7500
Pb: 0.4362 0.5638 0.2500
Pb: 0.5638 0.4362 0.7500
O: 0.2321 0.3107 0.5057
O: 0.2647 0.7353 0.2500
O: 0.3107 0.2321 0.0057
O: 0.6893 0.7679 0.9943
O: 0.7353 0.2647 0.7500
O: 0.7679 0.6893 0.4943